Ca2AlH10BrO8: calculated powder diffractogram (λ = 1.5418 Å (Cu Kα)), based on DFT lattice parameters and positions (PBE).
Neutral-atom scattering factors, no anomalous dispersion.

Structure:
Lattice parameters (Å, degrees): 5.7763 5.8218 9.1147 89.83 71.79 60.33
Element x y z (fractional)
Ca 0.1179 0.1912 0.0741
Ca 0.8821 0.8088 0.9259
Al 0.5000 0.5000 0.0000
H 0.0165 0.7140 0.2181
H 0.0593 0.2142 0.4249
H 0.2244 0.7603 0.5757
H 0.4526 0.7661 0.7809
H 0.4984 0.2349 0.7819
H 0.5016 0.7651 0.2181
H 0.5474 0.2339 0.2191
H 0.7756 0.2397 0.4243
H 0.9407 0.7858 0.5751
H 0.9835 0.2860 0.7819
Br 0.5000 0.0000 0.5000
O 0.0751 0.7218 0.6312
O 0.1160 0.5930 0.1174
O 0.3270 0.7667 0.8813
O 0.4780 0.7898 0.1171
O 0.5220 0.2102 0.8829
O 0.6730 0.2333 0.1187
O 0.8840 0.4070 0.8826
O 0.9249 0.2782 0.3688

Peak list (10 most intense, 10 to 80 degrees two-theta, in order of rising 2θ)
| 2θ (°) | I/Imax |
| --- | --- |
| 10.39 | 100 |
| 20.88 | 85 |
| 22.30 | 55 |
| 22.61 | 92 |
| 30.70 | 83 |
| 30.96 | 39 |
| 37.31 | 34 |
| 37.59 | 77 |
| 38.42 | 31 |
| 39.62 | 35 |

***

Li3BN2: calculated powder diffractogram (λ = 1.5418 Å (Cu Kα)), based on DFT lattice parameters and positions (PBE).
Neutral-atom scattering factors, no anomalous dispersion.

Structure:
Lattice parameters (Å, degrees): 5.1487 7.0960 6.7894 90.00 112.75 90.00
Element x y z (fractional)
Li 0.2416 0.2082 0.3136
Li 0.2416 0.2918 0.8136
Li 0.2506 0.5124 0.1245
Li 0.2507 0.5183 0.5022
Li 0.2507 0.9817 0.0022
Li 0.2506 0.9876 0.6245
Li 0.7494 0.0124 0.3755
Li 0.7493 0.0183 0.9978
Li 0.7493 0.4817 0.4978
Li 0.7494 0.4876 0.8755
Li 0.7584 0.7082 0.1864
Li 0.7584 0.7918 0.6864
B 0.2851 0.6798 0.8237
B 0.2851 0.8202 0.3237
B 0.7149 0.1798 0.6763
B 0.7149 0.3202 0.1763
N 0.0652 0.5619 0.7805
N 0.0652 0.9381 0.2805
N 0.4936 0.2045 0.1338
N 0.4936 0.2955 0.6338
N 0.5064 0.7045 0.3662
N 0.5064 0.7955 0.8662
N 0.9348 0.0619 0.7195
N 0.9348 0.4381 0.2195

Peak list (10 most intense, 10 to 80 degrees two-theta, in order of rising 2θ)
| 2θ (°) | I/Imax |
| --- | --- |
| 27.40 | 28 |
| 28.51 | 32 |
| 30.20 | 38 |
| 30.41 | 18 |
| 31.23 | 44 |
| 31.45 | 100 |
| 45.81 | 15 |
| 47.67 | 16 |
| 47.95 | 15 |
| 54.14 | 16 |

***

K8Tl10Zn: calculated powder diffractogram (λ = 1.5418 Å (Cu Kα)), based on DFT lattice parameters and positions (PBE).
Neutral-atom scattering factors, no anomalous dispersion.

Structure:
Lattice parameters (Å, degrees): 10.4783 10.4783 14.1736 90.00 90.00 90.00
Element x y z (fractional)
K 0.0461 0.6769 0.1051
K 0.0461 0.8231 0.3949
K 0.1769 0.5461 0.6051
K 0.1769 0.9539 0.8949
K 0.3231 0.5461 0.8949
K 0.3231 0.9539 0.6051
K 0.4539 0.6769 0.3949
K 0.4539 0.8231 0.1051
K 0.5461 0.1769 0.8949
K 0.5461 0.3231 0.6051
K 0.6769 0.0461 0.3949
K 0.6769 0.4539 0.1051
K 0.8231 0.0461 0.1051
K 0.8231 0.4539 0.3949
K 0.9539 0.1769 0.6051
K 0.9539 0.3231 0.8949
Tl 0.0106 0.1547 0.3398
Tl 0.0106 0.3453 0.1602
Tl 0.1547 0.0106 0.1602
Tl 0.1547 0.4894 0.3398
Tl 0.2500 0.2500 0.0403
Tl 0.2500 0.2500 0.4597
Tl 0.3453 0.0106 0.3398
Tl 0.3453 0.4894 0.1602
Tl 0.4894 0.1547 0.1602
Tl 0.4894 0.3453 0.3398
Tl 0.5106 0.6547 0.6602
Tl 0.5106 0.8453 0.8398
Tl 0.6547 0.5106 0.8398
Tl 0.6547 0.9894 0.6602
Tl 0.7500 0.7500 0.5403
Tl 0.7500 0.7500 0.9597
Tl 0.8453 0.5106 0.6602
Tl 0.8453 0.9894 0.8398
Tl 0.9894 0.6547 0.8398
Tl 0.9894 0.8453 0.6602
Zn 0.2500 0.2500 0.2500
Zn 0.7500 0.7500 0.7500

Peak list (10 most intense, 10 to 80 degrees two-theta, in order of rising 2θ)
| 2θ (°) | I/Imax |
| --- | --- |
| 10.50 | 100 |
| 11.94 | 17 |
| 21.09 | 10 |
| 22.75 | 14 |
| 27.65 | 29 |
| 31.66 | 12 |
| 33.02 | 47 |
| 33.32 | 16 |
| 37.07 | 24 |
| 38.42 | 19 |

***

Sm3Lu: calculated powder diffractogram (λ = 1.5418 Å (Cu Kα)), based on DFT lattice parameters and positions (PBE).
Neutral-atom scattering factors, no anomalous dispersion.

Structure:
Lattice parameters (Å, degrees): 7.2548 7.2548 5.8224 90.00 90.00 120.00
Element x y z (fractional)
Sm 0.1679 0.3359 0.2500
Sm 0.1679 0.8321 0.2500
Sm 0.3359 0.1679 0.7500
Sm 0.6641 0.8321 0.2500
Sm 0.8321 0.1679 0.7500
Sm 0.8321 0.6641 0.7500
Lu 0.3333 0.6667 0.7500
Lu 0.6667 0.3333 0.2500

Peak list (10 most intense, 10 to 80 degrees two-theta, in order of rising 2θ)
| 2θ (°) | I/Imax |
| --- | --- |
| 28.41 | 23 |
| 30.71 | 26 |
| 32.38 | 100 |
| 42.33 | 16 |
| 50.31 | 19 |
| 55.67 | 22 |
| 60.11 | 23 |
| 61.11 | 16 |
| 67.79 | 4 |
| 78.31 | 8 |

***

SrCd2: calculated powder diffractogram (λ = 1.5418 Å (Cu Kα)), based on DFT lattice parameters and positions (PBE).
Neutral-atom scattering factors, no anomalous dispersion.

Structure:
Lattice parameters (Å, degrees): 6.4602 6.4602 6.4602 133.02 102.00 96.31
Element x y z (fractional)
Sr 0.2958 0.0458 0.2500
Sr 0.7042 0.9542 0.7500
Cd 0.1094 0.6646 0.4448
Cd 0.2803 0.3354 0.9448
Cd 0.7197 0.6646 0.0552
Cd 0.8906 0.3354 0.5552

Peak list (10 most intense, 10 to 80 degrees two-theta, in order of rising 2θ)
| 2θ (°) | I/Imax |
| --- | --- |
| 29.17 | 47 |
| 29.86 | 100 |
| 30.22 | 40 |
| 34.69 | 42 |
| 34.84 | 55 |
| 35.79 | 82 |
| 46.78 | 23 |
| 49.99 | 29 |
| 57.49 | 30 |
| 63.78 | 21 |

***

CdC6O6: calculated powder diffractogram (λ = 1.5418 Å (Cu Kα)), based on DFT lattice parameters and positions (PBE).
Neutral-atom scattering factors, no anomalous dispersion.

Structure:
Lattice parameters (Å, degrees): 9.6897 9.6897 27.1691 92.74 92.74 122.26
Element x y z (fractional)
Cd 0.0000 0.5000 0.0000
Cd 0.5000 0.0000 0.5000
C 0.0561 0.3214 0.9997
C 0.0603 0.4797 0.7459
C 0.0603 0.8343 0.0002
C 0.1657 0.9397 0.4998
C 0.3214 0.0561 0.4997
C 0.4797 0.0603 0.2459
C 0.5203 0.9397 0.7541
C 0.6786 0.9439 0.5003
C 0.8343 0.0603 0.5002
C 0.9397 0.1657 0.9998
C 0.9397 0.5203 0.2541
C 0.9439 0.6786 0.0003
O 0.0220 0.8461 0.4998
O 0.0330 0.3522 0.7337
O 0.1539 0.9780 0.0002
O 0.3228 0.5445 0.2487
O 0.3522 0.0330 0.2337
O 0.4555 0.6772 0.2513
O 0.5445 0.3228 0.7487
O 0.6478 0.9670 0.7663
O 0.6772 0.4555 0.7513
O 0.8461 0.0220 0.9998
O 0.9670 0.6478 0.2663
O 0.9780 0.1539 0.5002

Peak list (10 most intense, 10 to 80 degrees two-theta, in order of rising 2θ)
| 2θ (°) | I/Imax |
| --- | --- |
| 10.43 | 26 |
| 11.05 | 69 |
| 11.59 | 24 |
| 13.10 | 100 |
| 13.99 | 21 |
| 15.27 | 40 |
| 18.85 | 34 |
| 20.42 | 19 |
| 21.76 | 23 |
| 26.37 | 28 |

***

Nd2Te3: calculated powder diffractogram (λ = 1.5418 Å (Cu Kα)), based on DFT lattice parameters and positions (PBE).
Neutral-atom scattering factors, no anomalous dispersion.

Structure:
Lattice parameters (Å, degrees): 12.3702 4.4389 12.0289 90.00 90.00 90.00
Element x y z (fractional)
Nd 0.0166 0.2500 0.1876
Nd 0.1965 0.2500 0.4972
Nd 0.3035 0.7500 0.9972
Nd 0.4834 0.7500 0.6876
Nd 0.5166 0.2500 0.3124
Nd 0.6965 0.2500 0.0028
Nd 0.8035 0.7500 0.5028
Nd 0.9834 0.7500 0.8124
Te 0.0421 0.7500 0.3771
Te 0.1193 0.2500 0.9428
Te 0.2252 0.7500 0.6978
Te 0.2748 0.2500 0.1978
Te 0.3807 0.7500 0.4428
Te 0.4579 0.2500 0.8771
Te 0.5421 0.7500 0.1229
Te 0.6193 0.2500 0.5572
Te 0.7252 0.7500 0.8022
Te 0.7748 0.2500 0.3022
Te 0.8807 0.7500 0.0572
Te 0.9579 0.2500 0.6229

Peak list (10 most intense, 10 to 80 degrees two-theta, in order of rising 2θ)
| 2θ (°) | I/Imax |
| --- | --- |
| 25.97 | 39 |
| 28.87 | 64 |
| 30.03 | 62 |
| 30.54 | 84 |
| 30.91 | 63 |
| 33.17 | 100 |
| 36.18 | 36 |
| 38.51 | 33 |
| 40.65 | 59 |
| 43.55 | 34 |

***

In5Cl9: calculated powder diffractogram (λ = 1.5418 Å (Cu Kα)), based on DFT lattice parameters and positions (PBE).
Neutral-atom scattering factors, no anomalous dispersion.

Structure:
Lattice parameters (Å, degrees): 9.4773 9.4773 9.4773 82.57 82.57 82.57
Element x y z (fractional)
In 0.0801 0.7500 0.4199
In 0.1517 0.1517 0.1517
In 0.2500 0.5801 0.9199
In 0.3483 0.3483 0.3483
In 0.4199 0.0801 0.7500
In 0.5801 0.9199 0.2500
In 0.6517 0.6517 0.6517
In 0.7500 0.4199 0.0801
In 0.8483 0.8483 0.8483
In 0.9199 0.2500 0.5801
Cl 0.0799 0.9159 0.7287
Cl 0.0841 0.2713 0.9201
Cl 0.0931 0.4069 0.2500
Cl 0.2287 0.4159 0.5799
Cl 0.2500 0.0931 0.4069
Cl 0.2713 0.9201 0.0841
Cl 0.4069 0.2500 0.0931
Cl 0.4159 0.5799 0.2287
Cl 0.4201 0.7713 0.5841
Cl 0.5799 0.2287 0.4159
Cl 0.5841 0.4201 0.7713
Cl 0.5931 0.7500 0.9069
Cl 0.7287 0.0799 0.9159
Cl 0.7500 0.9069 0.5931
Cl 0.7713 0.5841 0.4201
Cl 0.9069 0.5931 0.7500
Cl 0.9159 0.7287 0.0799
Cl 0.9201 0.0841 0.2713

Peak list (10 most intense, 10 to 80 degrees two-theta, in order of rising 2θ)
| 2θ (°) | I/Imax |
| --- | --- |
| 20.27 | 38 |
| 20.97 | 17 |
| 24.66 | 66 |
| 29.13 | 23 |
| 32.13 | 100 |
| 32.50 | 31 |
| 41.22 | 46 |
| 48.63 | 21 |
| 50.56 | 30 |
| 53.52 | 20 |

***

NaSm2IrO6: calculated powder diffractogram (λ = 1.5418 Å (Cu Kα)), based on DFT lattice parameters and positions (PBE).
Neutral-atom scattering factors, no anomalous dispersion.

Structure:
Lattice parameters (Å, degrees): 5.5050 5.9375 9.5939 90.00 123.75 90.00
Element x y z (fractional)
Na 0.0000 0.0000 0.0000
Na 0.0000 0.5000 0.5000
Sm 0.2217 0.0747 0.7449
Sm 0.2217 0.4253 0.2449
Sm 0.7783 0.5747 0.7551
Sm 0.7783 0.9253 0.2551
Ir 0.5000 0.0000 0.5000
Ir 0.5000 0.5000 0.0000
O 0.1463 0.1734 0.4449
O 0.1463 0.3266 0.9449
O 0.2659 0.7173 0.4262
O 0.2659 0.7827 0.9262
O 0.3982 0.0570 0.2680
O 0.3982 0.4430 0.7680
O 0.6018 0.5570 0.2320
O 0.6018 0.9430 0.7320
O 0.7341 0.2173 0.0738
O 0.7341 0.2827 0.5738
O 0.8537 0.6734 0.0551
O 0.8537 0.8266 0.5551

Peak list (10 most intense, 10 to 80 degrees two-theta, in order of rising 2θ)
| 2θ (°) | I/Imax |
| --- | --- |
| 18.63 | 61 |
| 19.80 | 33 |
| 30.10 | 37 |
| 31.27 | 100 |
| 31.79 | 98 |
| 32.54 | 47 |
| 37.53 | 23 |
| 44.91 | 31 |
| 45.48 | 26 |
| 56.94 | 22 |

***

Cu4Pd: calculated powder diffractogram (λ = 1.5418 Å (Cu Kα)), based on DFT lattice parameters and positions (PBE).
Neutral-atom scattering factors, no anomalous dispersion.

Structure:
Lattice parameters (Å, degrees): 5.9075 5.9075 7.2337 90.00 90.00 90.00
Element x y z (fractional)
Cu 0.0000 0.0000 0.0000
Cu 0.0000 0.0000 0.5000
Cu 0.0968 0.2972 0.2492
Cu 0.0968 0.2972 0.7508
Cu 0.1923 0.6039 0.0000
Cu 0.2972 0.9032 0.2508
Cu 0.2972 0.9032 0.7492
Cu 0.3961 0.1923 0.5000
Cu 0.5000 0.5000 0.2500
Cu 0.5000 0.5000 0.7500
Cu 0.6039 0.8077 0.5000
Cu 0.7028 0.0968 0.2508
Cu 0.7028 0.0968 0.7492
Cu 0.8077 0.3961 0.0000
Cu 0.9032 0.7028 0.2492
Cu 0.9032 0.7028 0.7508
Pd 0.2076 0.6023 0.5000
Pd 0.3977 0.2076 0.0000
Pd 0.6023 0.7924 0.0000
Pd 0.7924 0.3977 0.5000

Peak list (10 most intense, 10 to 80 degrees two-theta, in order of rising 2θ)
| 2θ (°) | I/Imax |
| --- | --- |
| 19.40 | 2 |
| 24.61 | 3 |
| 32.75 | 1 |
| 33.93 | 1 |
| 36.20 | 1 |
| 42.37 | 100 |
| 48.75 | 33 |
| 50.47 | 15 |
| 71.41 | 10 |
| 72.79 | 18 |